No. 1
Computed PXRD pattern of TiTl8Se6 for CuKα, from a crystal structure in Alexandria, relaxed with GGA-PBE.
Kinematic intensities with the Lorentz-polarization factor, no thermal factor.

Structure:
Lattice parameters (Å, degrees): 8.816 11.426 10.674 90.00 90.00 90.00
Sites, in units of the cell vectors:
Ti  0.000  0.151  0.000
Ti  0.500  0.849  0.500
Tl  0.000  0.691  0.158
Tl  0.000  0.873  0.437
Tl  0.218  0.096  0.701
Tl  0.233  0.287  0.378
Tl  0.238  0.419  0.031
Tl  0.262  0.581  0.531
Tl  0.267  0.713  0.878
Tl  0.282  0.904  0.201
Tl  0.500  0.127  0.937
Tl  0.500  0.309  0.658
Tl  0.718  0.904  0.201
Tl  0.733  0.713  0.878
Tl  0.738  0.581  0.531
Tl  0.762  0.419  0.031
Tl  0.767  0.287  0.378
Tl  0.782  0.096  0.701
Se  0.000  0.125  0.488
Se  0.000  0.312  0.855
Se  0.000  0.458  0.249
Se  0.000  0.970  0.891
Se  0.231  0.166  0.124
Se  0.269  0.834  0.624
Se  0.500  0.030  0.391
Se  0.500  0.542  0.749
Se  0.500  0.688  0.355
Se  0.500  0.875  0.988
Se  0.731  0.834  0.624
Se  0.769  0.166  0.124

Main lines, low angle first (10° ≤ 2θ ≤ 80°):
two_theta	I_rel
26.2	40
26.9	51
27.4	100
30.6	36
32.2	37
32.4	34
33.3	46
40.9	33

No. 2
Computed PXRD pattern of CeSc2TaO8 for CuKα, from a crystal structure in Alexandria, relaxed with GGA-PBE.
Kinematic intensities with the Lorentz-polarization factor, no thermal factor.

Structure:
Lattice parameters (Å, degrees): 4.860 4.860 6.695 90.00 90.00 90.69
Sites, in units of the cell vectors:
Ce  0.000  0.000  0.000
Sc  0.500  0.500  0.260
Sc  0.500  0.500  0.740
Ta  0.000  0.000  0.500
O  0.194  0.806  0.279
O  0.194  0.806  0.721
O  0.295  0.295  0.500
O  0.315  0.315  0.000
O  0.685  0.685  0.000
O  0.705  0.705  0.500
O  0.806  0.194  0.279
O  0.806  0.194  0.721

Main lines, low angle first (10° ≤ 2θ ≤ 80°):
two_theta	I_rel
18.3	79
25.8	63
26.1	61
32.5	100
37.4	30
49.9	43
50.2	42
63.8	26

No. 3
Computed PXRD pattern of Cs6KRb2Cd for CuKα, from a crystal structure in Alexandria, relaxed with GGA-PBE.
Kinematic intensities with the Lorentz-polarization factor, no thermal factor.

Structure:
Lattice parameters (Å, degrees): 9.734 9.735 9.736 90.06 90.07 90.05
Sites, in units of the cell vectors:
Cs  0.000  0.000  0.000
Cs  0.128  0.854  0.461
Cs  0.392  0.331  0.276
Cs  0.522  0.185  0.737
Cs  0.667  0.724  0.608
Cs  0.853  0.460  0.130
K  0.260  0.592  0.868
Rb  0.531  0.862  0.139
Rb  0.990  0.322  0.598
Cd  0.760  0.092  0.369

Main lines, low angle first (10° ≤ 2θ ≤ 80°):
two_theta	I_rel
20.4	100
22.4	100
29.0	16
30.5	32
34.5	20
38.1	23
39.3	46
50.5	23

No. 4
Computed PXRD pattern of TbDy3Sc5 for CuKα, from a crystal structure in Alexandria, relaxed with GGA-PBE.
Kinematic intensities with the Lorentz-polarization factor, no thermal factor.

Structure:
Lattice parameters (Å, degrees): 9.249 9.249 9.249 126.50 126.50 79.07
Sites, in units of the cell vectors:
Tb  0.250  0.750  0.500
Tb  0.750  0.250  0.500
Dy  0.119  0.619  0.738
Dy  0.250  0.250  0.000
Dy  0.381  0.119  0.500
Dy  0.619  0.881  0.500
Dy  0.750  0.750  0.000
Dy  0.881  0.381  0.262
Sc  0.000  0.000  0.000
Sc  0.071  0.159  0.500
Sc  0.159  0.659  0.088
Sc  0.341  0.429  0.500
Sc  0.429  0.929  0.088
Sc  0.500  0.500  0.000
Sc  0.571  0.071  0.912
Sc  0.659  0.571  0.500
Sc  0.841  0.341  0.912
Sc  0.929  0.841  0.500

Main lines, low angle first (10° ≤ 2θ ≤ 80°):
two_theta	I_rel
24.7	74
25.0	46
30.4	54
30.5	74
32.9	29
33.1	100
39.5	36
45.4	58

No. 5
Computed PXRD pattern of Na2Ag7 for CuKα, from a crystal structure in Alexandria, relaxed with GGA-PBE.
Kinematic intensities with the Lorentz-polarization factor, no thermal factor.

Structure:
Lattice parameters (Å, degrees): 14.456 14.456 14.456 22.38 22.38 22.38
Sites, in units of the cell vectors:
Na  0.055  0.055  0.055
Na  0.151  0.151  0.151
Na  0.849  0.849  0.849
Na  0.945  0.945  0.945
Ag  0.000  0.500  0.500
Ag  0.110  0.613  0.613
Ag  0.277  0.277  0.277
Ag  0.387  0.387  0.890
Ag  0.387  0.890  0.387
Ag  0.389  0.389  0.389
Ag  0.500  0.000  0.500
Ag  0.500  0.500  0.000
Ag  0.500  0.500  0.500
Ag  0.611  0.611  0.611
Ag  0.613  0.110  0.613
Ag  0.613  0.613  0.110
Ag  0.723  0.723  0.723
Ag  0.890  0.387  0.387

Main lines, low angle first (10° ≤ 2θ ≤ 80°):
two_theta	I_rel
18.4	81
37.3	100
38.3	38
40.9	49
42.9	36
60.5	21
66.7	23
79.6	25

No. 6
Computed PXRD pattern of Ac4YPt4 for CuKα, from a crystal structure in Alexandria, relaxed with GGA-PBE.
Kinematic intensities with the Lorentz-polarization factor, no thermal factor.

Structure:
Lattice parameters (Å, degrees): 7.463 7.463 10.533 118.02 118.02 34.12
Sites, in units of the cell vectors:
Ac  0.109  0.109  0.392
Ac  0.301  0.301  0.189
Ac  0.699  0.699  0.811
Ac  0.891  0.891  0.608
Y  0.500  0.500  0.000
Pt  0.091  0.091  0.904
Pt  0.298  0.298  0.707
Pt  0.702  0.702  0.293
Pt  0.909  0.909  0.096

Main lines, low angle first (10° ≤ 2θ ≤ 80°):
two_theta	I_rel
29.1	100
29.3	51
41.2	21
41.8	76
42.0	17
51.4	22
52.1	18
68.9	18